No. 1
For NaCd4In3, a DFT-relaxed cell (GGA-PBE, Alexandria) gives the theoretical X-ray powder pattern in this record (Cu Kα, 1.54184 Å).
Kinematic intensities with the Lorentz-polarization factor, no thermal factor.

Structure:
Cell lengths 3.224, 5.847, 10.836 Å; angles 102.19, 98.23, 90.03 degrees
Space group P-1 (No. 2)
One atom of each set of equivalent atoms:
Na1 0.000 0.000 0.000 [1 per cell]
Cd1 0.132 0.802 0.256 [2 per cell]
Cd2 0.254 0.251 0.506 [2 per cell]
In1 0.372 0.708 0.743 [2 per cell]
In2 0.500 0.500 0.000 [1 per cell]

Largest 10 diffraction maxima, sorted by position, 15 to 90 degrees two-theta:
| two_theta | I/Imax | hkl |
| --- | --- | --- |
| 31.32 | 26 | 0 2 0 |
| 33.06 | 23 | 1 -1 1 |
| 33.17 | 23 | 1 1 -2 |
| 34.24 | 100 | 0 0 4 |
| 35.63 | 25 | 1 1 1 |
| 35.76 | 26 | -1 1 2 |
| 36.13 | 26 | 0 2 -3 |
| 36.52 | 31 | 1 -1 2 |
| 36.70 | 29 | 1 1 -3 |
| 55.14 | 31 | 1 -3 1 |

***

No. 2
For SrReHg, a DFT-relaxed cell (GGA-PBE, Alexandria) gives the theoretical X-ray powder pattern in this record (Cu Kα, 1.54184 Å).
Kinematic intensities with the Lorentz-polarization factor, no thermal factor.

Structure:
Cell lengths 3.041, 4.286, 10.997 Å; angles 90.00, 90.00, 90.00 degrees
Space group Imm2 (No. 44)
One atom of each set of equivalent atoms:
Sr1 0.000 0.000 0.000 [2 per cell]
Re1 0.000 0.000 0.300 [2 per cell]
Hg1 0.000 0.000 0.709 [2 per cell]

Largest 10 diffraction maxima, sorted by position, 15 to 90 degrees two-theta:
| two_theta | I/Imax | hkl |
| --- | --- | --- |
| 16.12 | 86 | 0 0 2 |
| 32.13 | 88 | 0 1 3 |
| 36.22 | 100 | 1 1 0 |
| 38.46 | 54 | 1 0 3 |
| 39.87 | 38 | 1 1 2 |
| 42.17 | 33 | 0 2 0 |
| 49.49 | 23 | 1 1 4 |
| 58.38 | 33 | 1 2 3 |
| 63.02 | 21 | 0 1 7 |
| 82.45 | 23 | 1 2 7 |

***

No. 3
For Ac6Nd3Dy2, a DFT-relaxed cell (GGA-PBE, Alexandria) gives the theoretical X-ray powder pattern in this record (Cu Kα, 1.54184 Å).
Kinematic intensities with the Lorentz-polarization factor, no thermal factor.

Structure:
Cell lengths 6.610, 8.561, 8.577 Å; angles 107.25, 97.70, 104.93 degrees
Space group P-1 (No. 2)
One atom of each set of equivalent atoms:
Ac1 0.054 0.181 0.404 [2 per cell]
Ac2 0.136 0.549 0.232 [2 per cell]
Ac3 0.321 0.265 0.870 [2 per cell]
Nd1 0.407 0.644 0.686 [2 per cell]
Nd2 0.500 0.000 0.500 [1 per cell]
Dy1 0.231 0.914 0.047 [2 per cell]

Largest 10 diffraction maxima, sorted by position, 15 to 90 degrees two-theta:
| two_theta | I/Imax | hkl |
| --- | --- | --- |
| 28.55 | 100 | 0 1 2 |
| 28.62 | 33 | 1 -2 2 |
| 33.04 | 45 | 1 1 -3 |
| 33.23 | 23 | 2 0 1 |
| 47.52 | 33 | 1 3 1 |
| 56.21 | 15 | 1 0 -5 |
| 56.33 | 20 | 2 3 -4 |
| 56.44 | 10 | 2 1 3 |
| 56.58 | 15 | 3 2 0 |
| 59.16 | 9 | 2 4 -2 |

***

No. 4
For AcCuH2F8, a DFT-relaxed cell (GGA-PBE, Alexandria) gives the theoretical X-ray powder pattern in this record (Cu Kα, 1.54184 Å).
Kinematic intensities with the Lorentz-polarization factor, no thermal factor.

Structure:
Cell lengths 4.479, 4.499, 8.267 Å; angles 94.55, 93.14, 113.51 degrees
Space group P-1 (No. 2)
One atom of each set of equivalent atoms:
Ac1 0.000 0.000 0.000 [1 per cell]
Cu1 0.000 0.000 0.500 [1 per cell]
H1 0.482 0.483 0.712 [2 per cell]
F1 0.204 0.201 0.706 [2 per cell]
F2 0.232 0.765 0.495 [2 per cell]
F3 0.315 0.308 0.276 [2 per cell]
F4 0.327 0.675 0.003 [2 per cell]

Largest 10 diffraction maxima, sorted by position, 15 to 90 degrees two-theta:
| two_theta | I/Imax | hkl |
| --- | --- | --- |
| 21.69 | 100 | 0 0 2 |
| 23.70 | 34 | 1 -1 0 |
| 29.04 | 18 | 0 1 -2 |
| 29.35 | 18 | 1 0 -2 |
| 32.54 | 15 | 0 1 2 |
| 40.48 | 13 | 1 -2 0 |
| 40.59 | 25 | 1 1 -2 |
| 44.16 | 14 | 0 0 4 |
| 45.51 | 17 | 1 1 2 |
| 47.32 | 15 | 2 -1 2 |

***

No. 5
For NaTl4Br5, a DFT-relaxed cell (GGA-PBE, Alexandria) gives the theoretical X-ray powder pattern in this record (Cu Kα, 1.54184 Å).
Kinematic intensities with the Lorentz-polarization factor, no thermal factor.

Structure:
Cell lengths 4.704, 4.704, 33.015 Å; angles 90.00, 90.00, 90.00 degrees
Space group I4/mmm (No. 139)
One atom of each set of equivalent atoms:
Na1 0.000 0.000 0.000 [2 per cell]
Tl1 0.000 0.000 0.198 [4 per cell]
Tl2 0.000 0.000 0.403 [4 per cell]
Br1 0.000 0.000 0.089 [4 per cell]
Br2 0.000 0.000 0.297 [4 per cell]
Br3 0.000 0.000 0.500 [2 per cell]

Largest 10 diffraction maxima, sorted by position, 15 to 90 degrees two-theta:
| two_theta | I/Imax | hkl |
| --- | --- | --- |
| 23.22 | 30 | 1 0 5 |
| 26.80 | 100 | 1 1 0 |
| 27.01 | 44 | 0 0 10 |
| 38.27 | 38 | 2 0 0 |
| 38.42 | 69 | 1 1 10 |
| 47.46 | 38 | 2 0 10 |
| 55.23 | 13 | 2 2 0 |
| 62.43 | 18 | 3 1 0 |
| 62.54 | 17 | 2 2 10 |
| 69.28 | 24 | 3 1 10 |

***

No. 6
For Na2PaBr8, a DFT-relaxed cell (GGA-PBE, Alexandria) gives the theoretical X-ray powder pattern in this record (Cu Kα, 1.54184 Å).
Kinematic intensities with the Lorentz-polarization factor, no thermal factor.

Structure:
Cell lengths 8.961, 12.292, 13.765 Å; angles 90.00, 90.00, 90.00 degrees
Space group Fmmm (No. 69)
One atom of each set of equivalent atoms:
Na1 0.250 0.250 0.250 [8 per cell]
Pa1 0.000 0.000 0.000 [4 per cell]
Br1 0.000 0.000 0.213 [8 per cell]
Br2 0.000 0.220 0.109 [16 per cell]
Br3 0.205 0.000 0.500 [8 per cell]

Largest 10 diffraction maxima, sorted by position, 15 to 90 degrees two-theta:
| two_theta | I/Imax | hkl |
| --- | --- | --- |
| 19.82 | 74 | 2 0 0 |
| 29.06 | 73 | 0 4 0 |
| 29.75 | 100 | 0 2 4 |
| 31.50 | 62 | 3 1 1 |
| 36.01 | 62 | 2 2 4 |
| 38.53 | 34 | 1 5 1 |
| 40.75 | 40 | 1 3 5 |
| 48.41 | 36 | 3 5 1 |
| 50.27 | 39 | 3 3 5 |
| 50.85 | 35 | 4 2 4 |

***

No. 7
For Cs2UCl5O, a DFT-relaxed cell (GGA-PBE, Alexandria) gives the theoretical X-ray powder pattern in this record (Cu Kα, 1.54184 Å).
Kinematic intensities with the Lorentz-polarization factor, no thermal factor.

Structure:
Cell lengths 7.730, 7.730, 10.544 Å; angles 90.00, 90.00, 90.00 degrees
Space group I4mm (No. 107)
One atom of each set of equivalent atoms:
Cs1 0.000 0.500 0.000 [4 per cell]
U1 0.000 0.000 0.241 [2 per cell]
Cl1 0.000 0.000 0.488 [2 per cell]
Cl2 0.242 0.242 0.250 [8 per cell]
O1 0.000 0.000 0.067 [2 per cell]

Largest 10 diffraction maxima, sorted by position, 15 to 90 degrees two-theta:
| two_theta | I/Imax | hkl |
| --- | --- | --- |
| 23.01 | 42 | 2 0 0 |
| 23.44 | 100 | 1 1 2 |
| 27.14 | 38 | 2 1 1 |
| 28.64 | 18 | 2 0 2 |
| 32.77 | 52 | 2 2 0 |
| 34.01 | 22 | 0 0 4 |
| 40.68 | 48 | 3 1 2 |
| 47.02 | 18 | 4 0 0 |
| 47.95 | 32 | 2 2 4 |
| 59.29 | 17 | 4 0 4 |

***

No. 8
For CaAl11Pt, a DFT-relaxed cell (GGA-PBE, Alexandria) gives the theoretical X-ray powder pattern in this record (Cu Kα, 1.54184 Å).
Kinematic intensities with the Lorentz-polarization factor, no thermal factor.

Structure:
Cell lengths 5.205, 12.800, 7.264 Å; angles 90.00, 108.55, 90.00 degrees
Space group C2/m (No. 12)
One atom of each set of equivalent atoms:
Ca1 0.000 0.000 0.000 [2 per cell]
Al1 0.000 0.000 0.500 [2 per cell]
Al2 0.111 0.391 0.226 [8 per cell]
Al3 0.172 0.176 0.357 [8 per cell]
Al4 0.250 0.250 0.000 [4 per cell]
Pt1 0.000 0.500 0.500 [2 per cell]

Largest 10 diffraction maxima, sorted by position, 15 to 90 degrees two-theta:
| two_theta | I/Imax | hkl |
| --- | --- | --- |
| 18.93 | 100 | 0 2 1 |
| 19.28 | 73 | 1 1 0 |
| 19.76 | 67 | 1 1 -1 |
| 26.29 | 54 | 1 1 1 |
| 33.01 | 60 | 1 3 1 |
| 38.27 | 51 | 1 1 -3 |
| 38.40 | 84 | 0 4 2 |
| 39.13 | 58 | 2 2 0 |
| 40.14 | 56 | 2 2 -2 |
| 44.45 | 51 | 0 6 1 |

***

No. 9
For FeCuTe2, a DFT-relaxed cell (GGA-PBE, Alexandria) gives the theoretical X-ray powder pattern in this record (Cu Kα, 1.54184 Å).
Kinematic intensities with the Lorentz-polarization factor, no thermal factor.

Structure:
Cell lengths 3.902, 3.902, 6.501 Å; angles 90.00, 90.00, 90.00 degrees
Space group P-4m2 (No. 115)
One atom of each set of equivalent atoms:
Fe1 0.000 0.000 0.000 [1 per cell]
Cu1 0.500 0.500 0.000 [1 per cell]
Te1 0.000 0.500 0.265 [2 per cell]

Largest 10 diffraction maxima, sorted by position, 15 to 90 degrees two-theta:
| two_theta | I/Imax | hkl |
| --- | --- | --- |
| 26.65 | 100 | 1 0 1 |
| 35.34 | 18 | 1 1 1 |
| 43.00 | 62 | 1 1 2 |
| 46.55 | 25 | 2 0 0 |
| 48.02 | 18 | 1 0 3 |
| 54.44 | 27 | 2 1 1 |
| 67.95 | 8 | 2 2 0 |
| 69.11 | 12 | 2 1 3 |
| 76.25 | 10 | 2 0 4 |
| 83.87 | 17 | 3 1 2 |

***

No. 10
For Ta5N8, a DFT-relaxed cell (GGA-PBE, Alexandria) gives the theoretical X-ray powder pattern in this record (Cu Kα, 1.54184 Å).
Kinematic intensities with the Lorentz-polarization factor, no thermal factor.

Structure:
Cell lengths 9.733, 6.240, 7.160 Å; angles 90.00, 131.57, 90.00 degrees
Space group C2/m (No. 12)
One atom of each set of equivalent atoms:
Ta1 0.000 0.000 0.000 [2 per cell]
Ta2 0.000 0.253 0.500 [4 per cell]
Ta3 0.203 0.500 0.004 [4 per cell]
N1 0.002 0.000 0.302 [4 per cell]
N2 0.035 0.500 0.341 [4 per cell]
N3 0.215 0.227 0.166 [8 per cell]

Largest 10 diffraction maxima, sorted by position, 15 to 90 degrees two-theta:
| two_theta | I/Imax | hkl |
| --- | --- | --- |
| 18.23 | 73 | 2 0 -1 |
| 32.05 | 32 | 3 1 -1 |
| 32.37 | 32 | 3 1 -2 |
| 33.23 | 100 | 0 2 1 |
| 33.46 | 48 | 0 0 2 |
| 37.99 | 29 | 2 0 1 |
| 38.35 | 29 | 2 2 -2 |
| 50.83 | 22 | 4 2 -3 |
| 59.67 | 25 | 0 2 3 |
| 69.75 | 21 | 0 4 2 |

***

No. 11
For Er3TlRh, a DFT-relaxed cell (GGA-PBE, Alexandria) gives the theoretical X-ray powder pattern in this record (Cu Kα, 1.54184 Å).
Kinematic intensities with the Lorentz-polarization factor, no thermal factor.

Structure:
Cell lengths 6.534, 9.597, 16.324 Å; angles 90.00, 90.00, 90.00 degrees
Space group Fmmm (No. 69)
One atom of each set of equivalent atoms:
Er1 0.000 0.000 0.201 [8 per cell]
Er2 0.000 0.186 0.387 [16 per cell]
Tl1 0.217 0.000 0.000 [8 per cell]
Rh1 0.250 0.250 0.250 [8 per cell]

Largest 10 diffraction maxima, sorted by position, 15 to 90 degrees two-theta:
| two_theta | I/Imax | hkl |
| --- | --- | --- |
| 28.72 | 54 | 0 2 4 |
| 31.62 | 66 | 1 3 1 |
| 32.03 | 63 | 1 1 5 |
| 35.00 | 100 | 2 2 2 |
| 35.19 | 72 | 2 0 4 |
| 35.33 | 31 | 1 3 3 |
| 38.02 | 39 | 0 2 6 |
| 53.62 | 24 | 3 3 3 |
| 56.34 | 24 | 4 0 0 |
| 57.45 | 27 | 1 5 5 |

***

No. 12
For Ag2Ir, a DFT-relaxed cell (GGA-PBE, Alexandria) gives the theoretical X-ray powder pattern in this record (Cu Kα, 1.54184 Å).
Kinematic intensities with the Lorentz-polarization factor, no thermal factor.

Structure:
Cell lengths 2.8021, 2.8021, 7.2350 Å; angles 90.00, 90.00, 120.00 degrees
Space group P-3m1 (No. 164)
One atom of each set of equivalent atoms:
Ag1 0.3333 0.6667 0.1698 [2 per cell]
Ir1 0.0000 0.0000 0.5000 [1 per cell]

Largest 10 diffraction maxima, sorted by position, 15 to 90 degrees two-theta:
| two_theta | I/Imax | hkl |
| --- | --- | --- |
| 37.29 | 37 | 0 0 3 |
| 39.15 | 100 | 1 0 1 |
| 44.98 | 68 | 0 1 2 |
| 64.23 | 22 | 1 0 4 |
| 66.77 | 19 | 1 1 0 |
| 76.68 | 14 | 0 1 5 |
| 79.04 | 24 | 1 1 3 |
| 79.48 | 4 | 0 0 6 |
| 80.22 | 12 | 0 2 1 |
| 84.16 | 11 | 2 0 2 |